# 1
For CeBiPd, the PBE geometry in the Materials Project gives the computed XRD peak list in this record (Cu Ka).
No peak broadening, texture or thermal motion is included.

Cell and atoms:
```
CeBiPd
1.0
0.000 3.442 3.442
3.442 0.000 3.442
3.442 3.442 0.000
Ce Bi Pd
1 1 1
Cartesian
0.000 0.000 0.000 Ce
3.442 3.442 3.442 Bi
1.721 1.721 1.721 Pd
```

Principal peaks in the range 10 to 80 degrees two-theta, low angle first:
| 2θ/deg | I/Imax |
| --- | --- |
| 22.37 | 19 |
| 25.88 | 34 |
| 36.93 | 100 |
| 43.61 | 10 |
| 45.65 | 10 |
| 53.22 | 18 |
| 58.44 | 4 |
| 60.11 | 14 |
| 66.54 | 36 |
| 78.62 | 11 |

# 2
For PrI2, the PBE geometry in the Materials Project gives the computed XRD peak list in this record (Cu Ka).
No peak broadening, texture or thermal motion is included.

Cell and atoms:
```
PrI2
1.0
0.000 6.310 6.310
6.310 0.000 6.310
6.310 6.310 0.000
Pr I
4 8
Cartesian
4.906 4.906 4.906 Pr
7.713 7.713 4.906 Pr
7.713 4.906 7.713 Pr
4.906 7.713 7.713 Pr
8.048 4.571 4.571 I
1.594 1.594 1.594 I
4.716 4.716 1.594 I
4.716 1.594 4.716 I
1.594 4.716 4.716 I
4.571 8.048 4.571 I
4.571 4.571 8.048 I
8.048 8.048 8.048 I
```

Principal peaks in the range 10 to 80 degrees two-theta, low angle first:
| 2θ/deg | I/Imax |
| --- | --- |
| 12.15 | 25 |
| 23.38 | 23 |
| 24.44 | 17 |
| 28.29 | 100 |
| 30.89 | 20 |
| 34.83 | 13 |
| 40.44 | 70 |
| 50.08 | 23 |
| 66.24 | 25 |
| 73.54 | 18 |

# 3
For TaGe2, the PBE geometry in the Materials Project gives the computed XRD peak list in this record (Cu Ka).
No peak broadening, texture or thermal motion is included.

Cell and atoms:
```
TaGe2
1.0
5.009 0.000 0.000
-2.505 4.338 0.000
0.000 0.000 6.808
Ta Ge
3 6
Cartesian
-1.252 2.169 1.135 Ta
2.505 0.000 3.404 Ta
1.252 2.169 5.673 Ta
0.000 1.425 3.404 Ge
-1.270 3.625 5.673 Ge
1.234 0.713 1.135 Ge
1.270 3.625 1.135 Ge
3.775 0.713 5.673 Ge
2.505 2.913 3.404 Ge
```

Principal peaks in the range 10 to 80 degrees two-theta, low angle first:
| 2θ/deg | I/Imax |
| --- | --- |
| 24.33 | 32 |
| 33.46 | 14 |
| 35.85 | 15 |
| 38.29 | 100 |
| 39.72 | 34 |
| 44.93 | 64 |
| 66.05 | 20 |
| 66.41 | 20 |
| 70.79 | 16 |
| 75.99 | 15 |